Diffraction record for Ba3NaSm2Te6. The PXRD pattern is theoretical, not measured: it uses the PBE geometry in Alexandria and λ = 1.5418 Å (Cu Kα).
Neutral-atom scattering factors, no anomalous dispersion.

Most intense lines, 5 to 70 degrees two-theta, sorted by position:
- 26.6 deg, intensity 100
- 37.8 deg, intensity 36
- 38.1 deg, intensity 39
- 47.1 deg, intensity 21
- 62.1 deg, intensity 18
- 68.7 deg, intensity 12

Atomic structure:
```
data_Ba3NaSm2Te6
_chemical_formula_sum 'Ba3 Na1 Sm2 Te6'
_symmetry_space_group_name_H-M 'P 1'
_symmetry_Int_Tables_number 1
_cell_length_a 8.180
_cell_length_b 8.180
_cell_length_c 8.254
_cell_angle_alpha 99.48
_cell_angle_beta 99.48
_cell_angle_gamma 119.98
loop_
_symmetry_equiv_pos_as_xyz
'x,y,z'
loop_
_atom_site_label
_atom_site_type_symbol
_atom_site_fract_x
_atom_site_fract_y
_atom_site_fract_z
_atom_site_occupancy
Ba1 Ba 0.000 0.000 0.000 1
Ba2 Ba 0.337 0.663 0.000 1
Ba3 Ba 0.663 0.337 0.000 1
Na1 Na 0.500 0.500 0.500 1
Sm1 Sm 0.168 0.832 0.500 1
Sm2 Sm 0.832 0.168 0.500 1
Te1 Te 0.084 0.425 0.277 1
Te2 Te 0.232 0.232 0.719 1
Te3 Te 0.425 0.084 0.277 1
Te4 Te 0.575 0.916 0.723 1
Te5 Te 0.768 0.768 0.281 1
Te6 Te 0.916 0.575 0.723 1
```

Diffraction record for TbPmTm4. The PXRD pattern is theoretical, not measured: it uses the PBE geometry in Alexandria and λ = 1.5418 Å (Cu Kα).
Neutral-atom scattering factors, no anomalous dispersion.

Most intense lines, 5 to 70 degrees two-theta, sorted by position:
- 31.6 deg, intensity 73
- 32.1 deg, intensity 36
- 32.7 deg, intensity 100
- 32.8 deg, intensity 63
- 33.0 deg, intensity 45
- 33.5 deg, intensity 73

Atomic structure:
```
data_TbPmTm4
_chemical_formula_sum 'Tb2 Pm2 Tm8'
_symmetry_space_group_name_H-M 'P 1'
_symmetry_Int_Tables_number 1
_cell_length_a 8.461
_cell_length_b 8.461
_cell_length_c 6.439
_cell_angle_alpha 100.14
_cell_angle_beta 100.14
_cell_angle_gamma 117.86
loop_
_symmetry_equiv_pos_as_xyz
'x,y,z'
loop_
_atom_site_label
_atom_site_type_symbol
_atom_site_fract_x
_atom_site_fract_y
_atom_site_fract_z
_atom_site_occupancy
Tb1 Tb 0.087 0.913 0.750 1
Tb2 Tb 0.913 0.087 0.250 1
Pm1 Pm 0.498 0.502 0.250 1
Pm2 Pm 0.502 0.498 0.750 1
Tm1 Tm 0.071 0.333 0.878 1
Tm2 Tm 0.211 0.603 0.467 1
Tm3 Tm 0.333 0.071 0.378 1
Tm4 Tm 0.397 0.789 0.033 1
Tm5 Tm 0.603 0.211 0.967 1
Tm6 Tm 0.667 0.929 0.622 1
Tm7 Tm 0.789 0.397 0.533 1
Tm8 Tm 0.929 0.667 0.122 1
```